Record 1
# MnGaNi5
Computed powder XRD pattern, copper Kα. Input: a crystal structure in Alexandria, relaxed with PBE.

Largest 10 diffraction maxima, low angle first, 2θ = 10–90°:
| 2θ (°) | d [Å] | I (rel.) | hkl |
| --- | --- | --- | --- |
| 12.9 | 6.858 | 4.0 | 0 0 1 |
| 25.1 | 3.545 | 8.0 | 1 0 0 |
| 28.3 | 3.149 | 7.3 | 1 0 1 |
| 36.5 | 2.465 | 6.1 | 1 0 2 |
| 44.8 | 2.024 | 100.0 | 1 1 2 |
| 51.6 | 1.772 | 32.3 | 2 0 0 |
| 53.4 | 1.714 | 14.4 | 0 0 4 |
| 59.9 | 1.544 | 3.0 | 1 0 4 |
| 75.9 | 1.253 | 9.4 | 2 2 0 |
| 77.5 | 1.232 | 17.3 | 2 0 4 |

Cell lengths 3.545, 3.545, 6.858 Å; angles 90.00, 90.00, 90.00 degrees
Space group P4/mmm (No. 123)
Symmetry-distinct sites (fractional):
Mn (0.000, 0.000, 0.000) x1
Ga (0.500, 0.500, 0.500) x1
Ni (0.000, 0.500, 0.258) x4
Ni (0.500, 0.500, 0.000) x1

***

Record 2
# YPa2Pt9
Computed powder XRD pattern, copper Kα. Input: a crystal structure in Alexandria, relaxed with PBE.

Largest 10 diffraction maxima, low angle first, 2θ = 10–90°:
| 2θ (°) | d [Å] | I (rel.) | hkl |
| --- | --- | --- | --- |
| 14.2 | 6.216 | 1.2 | 0 0 2 |
| 22.5 | 3.954 | 1.1 | 1 0 1 |
| 37.4 | 2.403 | 100.0 | 1 1 3 |
| 43.4 | 2.085 | 33.3 | 2 0 0 |
| 43.7 | 2.072 | 16.3 | 0 0 6 |
| 63.1 | 1.474 | 11.2 | 2 2 0 |
| 63.3 | 1.470 | 22.0 | 2 0 6 |
| 75.7 | 1.257 | 26.4 | 3 1 3 |
| 76.1 | 1.251 | 12.9 | 1 1 9 |
| 79.8 | 1.201 | 11.5 | 2 2 6 |

Cell lengths 4.170, 4.170, 12.432 Å; angles 90.00, 90.00, 90.00 degrees
Space group P4/mmm (No. 123)
Symmetry-distinct sites (fractional):
Y (0.000, 0.000, 0.000) x1
Pa (0.000, 0.000, 0.331) x2
Pt (0.000, 0.500, 0.168) x4
Pt (0.000, 0.500, 0.500) x2
Pt (0.500, 0.500, 0.000) x1
Pt (0.500, 0.500, 0.333) x2

***

Record 3
# Ac12Si7Ag
Computed powder XRD pattern, copper Kα. Input: a crystal structure in Alexandria, relaxed with PBE.

Largest 10 diffraction maxima, low angle first, 2θ = 10–90°:
| 2θ (°) | d [Å] | I (rel.) | hkl |
| --- | --- | --- | --- |
| 19.7 | 4.496 | 11.5 | 0 1 2 |
| 25.2 | 3.540 | 100.0 | 1 3 1 |
| 25.4 | 3.509 | 19.5 | 1 2 2 |
| 27.6 | 3.233 | 14.2 | 4 0 1 |
| 28.1 | 3.171 | 22.0 | 0 0 3 |
| 29.8 | 2.998 | 30.1 | 5 -2 1 |
| 30.0 | 2.976 | 60.9 | 4 -1 2 |
| 41.0 | 2.202 | 30.1 | 5 2 0 |
| 41.4 | 2.180 | 13.0 | 1 4 3 |
| 50.5 | 1.809 | 19.1 | 2 5 3 |

Cell lengths 15.8793, 15.8793, 9.5140 Å; angles 90.00, 90.00, 120.00 degrees
Space group R-3 (No. 148, hexagonal axes)
Symmetry-distinct sites (fractional):
Ac (0.0210, 0.5829, 0.3270) x18
Ac (0.0444, 0.8715, 0.2760) x18
Si (0.0000, 0.0000, 0.5000) x3
Si (0.0448, 0.8686, 0.9310) x18
Ag (0.0000, 0.0000, 0.0000) x3

***

Record 4
# Cs3NaLi2B2O6
Computed powder XRD pattern, copper Kα. Input: a crystal structure in Alexandria, relaxed with PBE.

Largest 10 diffraction maxima, low angle first, 2θ = 10–90°:
| 2θ (°) | d [Å] | I (rel.) | hkl |
| --- | --- | --- | --- |
| 17.9 | 4.968 | 47.1 | 1 0 1 |
| 24.7 | 3.602 | 41.0 | 1 0 2 |
| 24.9 | 3.569 | 81.2 | 0 2 0 |
| 26.5 | 3.358 | 97.6 | 1 -2 1 |
| 27.1 | 3.292 | 58.1 | 2 -1 0 |
| 27.5 | 3.246 | 36.2 | 2 0 0 |
| 29.7 | 3.013 | 62.5 | 1 1 -3 |
| 30.0 | 2.983 | 100.0 | -1 1 3 |
| 32.7 | 2.739 | 39.7 | 1 0 3 |
| 36.5 | 2.462 | 33.0 | 1 -2 3 |

Cell lengths 6.852, 7.420, 10.384 Å; angles 95.42, 101.36, 103.43 degrees
Space group P-1 (No. 2)
Symmetry-distinct sites (fractional):
Cs (0.137, 0.264, 0.420) x2
Cs (0.289, 0.771, 0.365) x2
Cs (0.312, 0.687, 0.010) x2
Na (0.173, 0.168, 0.081) x2
Li (0.280, 0.405, 0.739) x2
Li (0.304, 0.915, 0.736) x2
B (0.154, 0.133, 0.812) x2
B (0.474, 0.691, 0.720) x2
O (0.126, 0.298, 0.872) x2
O (0.152, 0.974, 0.874) x2
O (0.200, 0.130, 0.685) x2
O (0.262, 0.638, 0.661) x2
O (0.422, 0.120, 0.260) x2
O (0.428, 0.444, 0.236) x2